No. 1
# Ta2InBiO8
Computed X-ray powder pattern, a wavelength of 1.5418 Å. Input: a DFT-relaxed cell (PBE, the Materials Project).

Peak list (6 most intense, 10 to 80 degrees two-theta, low angle first)
hkl 1 0 2, 2θ = 28.1°, I 94
hkl 1 0 -2, 2θ = 28.4°, I 100
hkl 1 2 0, 2θ = 28.6°, I 72
hkl 1 -2 0, 2θ = 29.2°, I 62
hkl 0 2 2, 2θ = 29.7°, I 51
hkl 2 0 0, 2θ = 33.0°, I 58

Atomic structure:
Unit cell a=5.429 b=7.669 c=7.920 alpha=78.68 beta=89.08 gamma=88.47
Space group P-1 (No. 2)
One atom of each set of equivalent atoms:
Ta  0.239  0.188  0.153
Ta  0.243  0.693  0.172
In  0.239  0.117  0.616
Bi  0.276  0.627  0.648
O  0.028  0.163  0.387
O  0.037  0.350  0.668
O  0.066  0.698  0.956
O  0.136  0.951  0.162
O  0.325  0.439  0.200
O  0.444  0.219  0.953
O  0.454  0.700  0.389
O  0.475  0.888  0.681



No. 2
# In4Bi3Pb
Computed X-ray powder pattern, a wavelength of 1.5418 Å. Input: a DFT-relaxed cell (PBE, the Materials Project).

Peak list (6 most intense, 10 to 80 degrees two-theta, low angle first)
hkl 2 1 3, 2θ = 30.6°, I 100
hkl 3 1 0, 2θ = 33.5°, I 72
hkl 2 0 4, 2θ = 33.6°, I 16
hkl 3 1 4, 2θ = 42.8°, I 26
hkl 4 4 0, 2θ = 62.1°, I 17
hkl 5 2 3, 2θ = 62.5°, I 20

Atomic structure:
Unit cell a=8.461 b=8.461 c=13.739 alpha=90.00 beta=90.00 gamma=90.00
Space group I4/mcm (No. 140)
One atom of each set of equivalent atoms:
In  0.151  0.349  0.166
Bi  0.000  0.000  0.250
Bi  0.138  0.362  0.500
Pb  0.000  0.000  0.000



Repeat the first record exactly.
# Ta2InBiO8
Computed X-ray powder pattern, a wavelength of 1.5418 Å. Input: a DFT-relaxed cell (PBE, the Materials Project).

Peak list (6 most intense, 10 to 80 degrees two-theta, low angle first)
hkl 1 0 2, 2θ = 28.1°, I 94
hkl 1 0 -2, 2θ = 28.4°, I 100
hkl 1 2 0, 2θ = 28.6°, I 72
hkl 1 -2 0, 2θ = 29.2°, I 62
hkl 0 2 2, 2θ = 29.7°, I 51
hkl 2 0 0, 2θ = 33.0°, I 58

Atomic structure:
Unit cell a=5.429 b=7.669 c=7.920 alpha=78.68 beta=89.08 gamma=88.47
Space group P-1 (No. 2)
One atom of each set of equivalent atoms:
Ta  0.239  0.188  0.153
Ta  0.243  0.693  0.172
In  0.239  0.117  0.616
Bi  0.276  0.627  0.648
O  0.028  0.163  0.387
O  0.037  0.350  0.668
O  0.066  0.698  0.956
O  0.136  0.951  0.162
O  0.325  0.439  0.200
O  0.444  0.219  0.953
O  0.454  0.700  0.389
O  0.475  0.888  0.681